No. 1
Starting from a DFT-relaxed cell (PBE+U, the Materials Project), the X-ray diffraction stick pattern of Cr4Si2Cl2O7 was simulated for Cu Kα, 1.54184 Å.
Kinematic intensities with the Lorentz-polarization factor, no thermal factor.

Atomic structure:
Lattice parameters (Å, degrees): 6.5101 12.9570 10.6462 90.00 92.02 90.00
Element x y z (fractional)
Cr1 0.0000 0.0321 0.0000
Cr2 0.0000 0.9679 0.5000
Cr3 0.0052 0.2759 0.4870
Cr4 0.0052 0.7241 0.9870
Cr5 0.3340 0.1137 0.3136
Cr6 0.3340 0.8863 0.8136
Cr7 0.3659 0.1281 0.8057
Cr8 0.3659 0.8719 0.3057
Cr9 0.4004 0.3621 0.2928
Cr10 0.4004 0.6379 0.7928
Cr11 0.4034 0.3728 0.7953
Cr12 0.4034 0.6272 0.2953
Cr13 0.7334 0.2329 0.9875
Cr14 0.7334 0.7671 0.4875
Cr15 0.7440 0.4579 0.5953
Cr16 0.7440 0.5421 0.0953
Si1 0.2425 0.2606 0.0534
Si2 0.2425 0.7394 0.5534
Si3 0.2503 0.4955 0.5358
Si4 0.2503 0.5045 0.0358
Si5 0.5069 0.0014 0.5516
Si6 0.5069 0.9986 0.0516
Si7 0.5097 0.2391 0.5446
Si8 0.5097 0.7609 0.0446
Cl1 0.0003 0.1166 0.6751
Cl2 0.0003 0.8834 0.1751
Cl3 0.7585 0.3728 0.1974
Cl4 0.7585 0.6272 0.6974
Cl5 0.8113 0.3833 0.8607
Cl6 0.8113 0.6167 0.3607
Cl7 0.9402 0.1244 0.3484
Cl8 0.9402 0.8756 0.8484
O1 0.0383 0.1929 0.0176
O2 0.0383 0.8071 0.5176
O3 0.0456 0.4252 0.5532
O4 0.0456 0.5748 0.0532
O5 0.1950 0.3840 0.0740
O6 0.1950 0.6160 0.5740
O7 0.3090 0.0191 0.9475
O8 0.3090 0.9809 0.4475
O9 0.3157 0.2626 0.4410
O10 0.3157 0.7374 0.9410
O11 0.3408 0.4937 0.3938
O12 0.3408 0.5063 0.8938
O13 0.3585 0.2281 0.1864
O14 0.3585 0.7719 0.6864
O15 0.4099 0.2522 0.9380
O16 0.4099 0.7478 0.4380
O17 0.4352 0.0009 0.1962
O18 0.4348 0.4608 0.6373
O19 0.4348 0.5392 0.1373
O20 0.4352 0.9991 0.6962
O21 0.4372 0.2443 0.6885
O22 0.4372 0.7557 0.1885
O23 0.5717 0.1194 0.5121
O24 0.5717 0.8806 0.0121
O25 0.6955 0.0754 0.0180
O26 0.6955 0.9246 0.5180
O27 0.7035 0.3136 0.5150
O28 0.7035 0.6864 0.0150

Peak list (10 most intense, 2θ from 10° to 90°, by intensity)
d 2.768, 32.3°, rel. 100.0; d 4.049, 22.0°, rel. 32.0; d 6.506, 13.6°, rel. 30.1; d 3.253, 27.4°, rel. 21.2; d 3.111, 28.7°, rel. 20.9; d 2.820, 31.7°, rel. 19.7; d 3.155, 28.3°, rel. 19.0; d 5.320, 16.7°, rel. 17.6; d 2.733, 32.8°, rel. 17.5; d 2.116, 42.7°, rel. 16.2

***

No. 2
Starting from a DFT-relaxed cell (PBE+U, the Materials Project), the X-ray diffraction stick pattern of K2LiMn2O4 was simulated for Cu Kα, 1.54184 Å.
Kinematic intensities with the Lorentz-polarization factor, no thermal factor.

Atomic structure:
Lattice parameters (Å, degrees): 6.6574 3.0520 6.9830 90.00 106.95 90.00
Element x y z (fractional)
K1 0.0000 0.0000 0.0000
K2 0.4962 0.5000 0.4989
Li1 0.3120 0.5000 0.7994
Mn1 0.5444 0.0000 0.0725
Mn2 0.9731 0.5000 0.4823
O1 0.1819 0.0000 0.6359
O2 0.3513 0.5000 0.1000
O3 0.6436 0.5000 0.9319
O4 0.7698 0.0000 0.3597

Peak list (10 most intense, 2θ from 10° to 90°, by intensity)
d 3.340, 26.7°, rel. 100.0; d 2.230, 40.4°, rel. 93.8; d 2.776, 32.2°, rel. 68.0; d 2.737, 32.7°, rel. 60.6; d 5.475, 16.2°, rel. 55.0; d 3.184, 28.0°, rel. 54.3; d 1.977, 45.9°, rel. 43.4; d 1.799, 50.8°, rel. 28.8; d 1.753, 52.2°, rel. 26.7; d 1.634, 56.3°, rel. 18.0

***

No. 3
Starting from a DFT-relaxed cell (PBE+U, the Materials Project), the X-ray diffraction stick pattern of Li3Fe8B8O24 was simulated for Cu Kα, 1.54184 Å.
Kinematic intensities with the Lorentz-polarization factor, no thermal factor.

Atomic structure:
Lattice parameters (Å, degrees): 5.2891 9.0542 11.4515 67.04 77.07 89.81
Element x y z (fractional)
Li1 0.0000 0.0000 0.0000
Li2 0.0754 0.3795 0.2279
Li3 0.8147 0.1322 0.7384
Fe1 0.0539 0.0312 0.2574
Fe2 0.2449 0.5748 0.5114
Fe3 0.3055 0.9514 0.7597
Fe4 0.4933 0.1577 0.0079
Fe5 0.5464 0.5293 0.2642
Fe6 0.7333 0.0707 0.5101
Fe7 0.7986 0.4572 0.7583
Fe8 0.9846 0.6606 0.0117
B1 0.0528 0.6990 0.2559
B2 0.2450 0.9120 0.5074
B3 0.2866 0.2853 0.7610
B4 0.5073 0.8275 0.0072
B5 0.5312 0.1966 0.2624
B6 0.7408 0.4051 0.5211
B7 0.8038 0.7861 0.7594
B8 0.9826 0.3221 0.0143
O1 0.0048 0.7751 0.8217
O2 0.0311 0.9653 0.4515
O3 0.0627 0.4438 0.0435
O4 0.0898 0.1732 0.0590
O5 0.1505 0.1443 0.7829
O6 0.1837 0.4331 0.7135
O7 0.2419 0.6472 0.3243
O8 0.2652 0.8321 0.9749
O9 0.3313 0.7687 0.5200
O10 0.3629 0.0137 0.5496
O11 0.4085 0.3264 0.2647
O12 0.4307 0.0905 0.2188
O13 0.5299 0.2810 0.7911
O14 0.5326 0.4572 0.4674
O15 0.6098 0.6808 0.0563
O16 0.6440 0.9676 0.9857
O17 0.6983 0.6581 0.7484
O18 0.7106 0.9391 0.7070
O19 0.7687 0.1647 0.3044
O20 0.7920 0.3357 0.9467
O21 0.8251 0.2561 0.5366
O22 0.8652 0.5047 0.5626
O23 0.9518 0.5933 0.2114
O24 0.9703 0.8504 0.2265

Peak list (10 most intense, 2θ from 10° to 90°, by intensity)
d 4.158, 21.4°, rel. 100.0; d 2.558, 35.1°, rel. 89.7; d 4.527, 19.6°, rel. 88.1; d 3.393, 26.3°, rel. 52.8; d 4.567, 19.4°, rel. 50.5; d 3.429, 26.0°, rel. 36.2; d 2.625, 34.2°, rel. 36.0; d 3.412, 26.1°, rel. 35.6; d 2.618, 34.3°, rel. 34.1; d 4.150, 21.4°, rel. 32.5

***

No. 4
Starting from a DFT-relaxed cell (PBE+U, the Materials Project), the X-ray diffraction stick pattern of FeOF was simulated for Cu Kα, 1.54184 Å.
Kinematic intensities with the Lorentz-polarization factor, no thermal factor.

Atomic structure:
Lattice parameters (Å, degrees): 9.2151 4.7772 4.7740 90.00 90.00 90.00
Element x y z (fractional)
Fe1 0.0000 0.2295 0.0000
Fe2 0.1675 0.7201 0.4163
Fe3 0.3325 0.2799 0.9163
Fe4 0.5000 0.7705 0.5000
Fe5 0.6675 0.2799 0.9163
Fe6 0.8325 0.7201 0.4163
O1 0.0000 0.9192 0.2594
O2 0.1697 0.4284 0.1344
O3 0.3303 0.5716 0.6344
O4 0.5000 0.0808 0.7594
O5 0.6697 0.5716 0.6344
O6 0.8303 0.4284 0.1344
F1 0.0000 0.5299 0.6412
F2 0.1641 0.0468 0.7458
F3 0.3359 0.9532 0.2458
F4 0.5000 0.4701 0.1412
F5 0.6641 0.9532 0.2458
F6 0.8359 0.0468 0.7458

Peak list (10 most intense, 2θ from 10° to 90°, by intensity)
d 3.377, 26.4°, rel. 100.0; d 1.754, 52.2°, rel. 54.6; d 2.583, 34.7°, rel. 51.9; d 2.272, 39.7°, rel. 19.5; d 1.413, 66.1°, rel. 18.0; d 1.688, 54.3°, rel. 14.6; d 1.398, 66.9°, rel. 11.6; d 1.536, 60.3°, rel. 9.3; d 2.080, 43.5°, rel. 8.7; d 2.388, 37.7°, rel. 7.4

***

No. 5
Starting from a DFT-relaxed cell (PBE+U, the Materials Project), the X-ray diffraction stick pattern of Zn3Fe4Bi6O24 was simulated for Cu Kα, 1.54184 Å.
Kinematic intensities with the Lorentz-polarization factor, no thermal factor.

Atomic structure:
Lattice parameters (Å, degrees): 6.6539 7.9805 11.3170 104.27 97.91 109.95
Element x y z (fractional)
Zn1 0.0000 0.0000 0.0000
Zn2 0.0247 0.4862 0.7052
Zn3 0.9753 0.5138 0.2948
Fe1 0.2675 0.3659 0.9088
Fe2 0.4732 0.7820 0.4819
Fe3 0.5268 0.2180 0.5181
Fe4 0.7325 0.6341 0.0912
Bi1 0.1057 0.9065 0.6046
Bi2 0.3642 0.3320 0.2332
Bi3 0.3663 0.8085 0.1872
Bi4 0.6337 0.1915 0.8128
Bi5 0.6358 0.6680 0.7668
Bi6 0.8943 0.0935 0.3954
O1 0.0276 0.6610 0.1655
O2 0.0409 0.2845 0.2958
O3 0.1418 0.7107 0.4587
O4 0.1596 0.2665 0.0479
O5 0.1998 0.1163 0.5007
O6 0.2601 0.1098 0.7898
O7 0.2890 0.0278 0.1348
O8 0.3213 0.5139 0.7879
O9 0.3599 0.6125 0.3006
O10 0.4218 0.6239 0.0393
O11 0.4658 0.6450 0.5950
O12 0.4830 0.0135 0.6182
O13 0.5170 0.9865 0.3818
O14 0.5342 0.3550 0.4050
O15 0.5782 0.3761 0.9607
O16 0.6401 0.3875 0.6994
O17 0.6787 0.4861 0.2121
O18 0.7110 0.9722 0.8652
O19 0.7399 0.8902 0.2102
O20 0.8002 0.8837 0.4993
O21 0.8404 0.7335 0.9521
O22 0.8582 0.2893 0.5413
O23 0.9591 0.7155 0.7042
O24 0.9724 0.3390 0.8345

Peak list (10 most intense, 2θ from 10° to 90°, by intensity)
d 3.037, 29.4°, rel. 100.0; d 3.124, 28.6°, rel. 72.2; d 3.374, 26.4°, rel. 71.5; d 2.781, 32.2°, rel. 66.9; d 4.591, 19.3°, rel. 64.0; d 3.790, 23.5°, rel. 63.1; d 2.650, 33.8°, rel. 61.0; d 3.734, 23.8°, rel. 50.5; d 2.604, 34.4°, rel. 47.5; d 4.792, 18.5°, rel. 40.1

***

No. 6
Starting from a DFT-relaxed cell (PBE+U, the Materials Project), the X-ray diffraction stick pattern of KVS2O9 was simulated for Cu Kα, 1.54184 Å.
Kinematic intensities with the Lorentz-polarization factor, no thermal factor.

Atomic structure:
Lattice parameters (Å, degrees): 5.0673 9.0473 16.6232 90.00 90.00 90.00
Element x y z (fractional)
K1 0.2474 0.0737 0.0550
K2 0.2526 0.9263 0.5550
K3 0.7474 0.4263 0.9450
K4 0.7526 0.5737 0.4450
V1 0.2375 0.8491 0.8019
V2 0.2625 0.1509 0.3019
V3 0.7375 0.6509 0.1981
V4 0.7625 0.3491 0.6981
S1 0.2381 0.6218 0.0755
S2 0.2425 0.7506 0.3103
S3 0.2575 0.2494 0.8103
S4 0.2619 0.3782 0.5755
S5 0.7381 0.8782 0.9245
S6 0.7425 0.7494 0.6897
S7 0.7575 0.2506 0.1897
S8 0.7619 0.1218 0.4245
O1 0.0067 0.0757 0.3763
O2 0.0077 0.6562 0.2828
O3 0.0140 0.3421 0.7885
O4 0.0352 0.4270 0.6316
O5 0.2323 0.7583 0.3977
O6 0.2335 0.6799 0.8283
O7 0.2439 0.7791 0.0623
O8 0.2462 0.8900 0.2664
O9 0.2481 0.5258 0.0057
O10 0.2519 0.4742 0.5057
O11 0.2538 0.1100 0.7664
O12 0.2561 0.2209 0.5623
O13 0.2665 0.3201 0.3283
O14 0.2677 0.2417 0.8977
O15 0.4648 0.5730 0.1316
O16 0.4860 0.6579 0.2885
O17 0.4923 0.3438 0.7828
O18 0.4933 0.9243 0.8763
O19 0.5067 0.4243 0.6237
O20 0.5077 0.8438 0.7172
O21 0.5140 0.1579 0.2115
O22 0.5352 0.0730 0.3684
O23 0.7323 0.7417 0.6023
O24 0.7335 0.8201 0.1717
O25 0.7439 0.7209 0.9377
O26 0.7462 0.6100 0.7336
O27 0.7481 0.9742 0.9943
O28 0.7519 0.0258 0.4943
O29 0.7538 0.3900 0.2336
O30 0.7561 0.2791 0.4377
O31 0.7665 0.1799 0.6717
O32 0.7677 0.2583 0.1023
O33 0.9648 0.9270 0.8684
O34 0.9860 0.8421 0.7115
O35 0.9923 0.1562 0.2172
O36 0.9933 0.5757 0.1237

Peak list (10 most intense, 2θ from 10° to 90°, by intensity)
d 3.213, 27.8°, rel. 100.0; d 4.365, 20.3°, rel. 52.3; d 3.973, 22.4°, rel. 25.8; d 3.126, 28.6°, rel. 24.5; d 2.534, 35.4°, rel. 21.3; d 8.312, 10.6°, rel. 20.8; d 3.307, 27.0°, rel. 19.2; d 6.121, 14.5°, rel. 16.9; d 2.094, 43.2°, rel. 12.2; d 2.649, 33.8°, rel. 11.4

***

No. 7
Starting from a DFT-relaxed cell (PBE+U, the Materials Project), the X-ray diffraction stick pattern of Sr4MgV3O10 was simulated for Cu Kα, 1.54184 Å.
Kinematic intensities with the Lorentz-polarization factor, no thermal factor.

Atomic structure:
Lattice parameters (Å, degrees): 3.9228 3.9228 16.0046 96.97 96.97 90.00
Element x y z (fractional)
Sr1 0.0581 0.0574 0.1162
Sr2 0.1796 0.1796 0.3617
Sr3 0.8204 0.8204 0.6383
Sr4 0.9426 0.9419 0.8838
Mg1 0.2522 0.7478 0.5000
V1 0.3769 0.3762 0.7524
V2 0.5003 0.4997 0.0000
V3 0.6238 0.6231 0.2476
O1 0.0002 0.4996 0.0001
O2 0.1326 0.6319 0.2653
O3 0.2804 0.2770 0.5579
O4 0.3681 0.8674 0.7347
O5 0.4397 0.4391 0.8785
O6 0.5004 0.9998 0.9999
O7 0.5609 0.5603 0.1215
O8 0.6310 0.1303 0.2622
O9 0.7230 0.7196 0.4421
O10 0.8697 0.3690 0.7378

Peak list (10 most intense, 2θ from 10° to 90°, by intensity)
d 2.613, 34.3°, rel. 100.0; d 2.774, 32.3°, rel. 64.1; d 1.961, 46.3°, rel. 53.5; d 2.268, 39.7°, rel. 41.3; d 1.569, 58.9°, rel. 39.5; d 2.958, 30.2°, rel. 37.6; d 1.390, 67.4°, rel. 20.8; d 1.971, 46.1°, rel. 17.7; d 1.387, 67.5°, rel. 15.4; d 1.607, 57.4°, rel. 14.6